[1]
CsLaNb6Br18: simulated powder diffraction line list (CuKα), based on DFT lattice parameters and positions (PBE).
Intensities are scaled so that the largest is 100.

Structural model:
abc: 10.0333 10.0333 18.7465
angles: 90.00 90.00 120.00
Space group P-31c (No. 163)
Unique sites:
Cs 0.3333 0.6667 0.2500
La 0.3333 0.6667 0.7500
Nb 0.0373 0.1862 0.9357
Br 0.0451 0.2291 0.1579
Br 0.0778 0.4404 0.8420
Br 0.1386 0.4116 0.4995

Peak list (10 most intense, 15 to 90 degrees two-theta, in order of rising 2θ)
index	d_spacing	two_theta	intensity
2 -1 2	4.423	20.08	36
3 -1 2	3.099	28.80	44
2 1 3	2.907	30.76	82
2 1 4	2.690	33.31	100
2 -1 6	2.652	33.80	41
2 1 5	2.470	36.37	34
2 1 6	2.263	39.83	50
3 -1 8	1.908	47.67	31
4 1 0	1.896	47.97	31
5 -1 1	1.886	48.24	39

=====

[2]
Zr2Ir: simulated powder diffraction line list (CuKα), based on DFT lattice parameters and positions (PBE).
Intensities are scaled so that the largest is 100.

Structural model:
abc: 6.543 6.543 5.779
angles: 90.00 90.00 90.00
Space group I4/mcm (No. 140)
Unique sites:
Zr 0.172 0.328 0.000
Ir 0.000 0.000 0.250

Peak list (10 most intense, 15 to 90 degrees two-theta, in order of rising 2θ)
index	d_spacing	two_theta	intensity
1 1 0	4.627	19.18	90
2 1 1	2.611	34.35	75
1 1 2	2.451	36.67	89
2 2 0	2.313	38.93	43
2 0 2	2.166	41.70	100
3 1 0	2.069	43.75	78
4 0 2	1.424	65.58	21
3 3 2	1.361	69.03	36
3 1 4	1.185	81.21	26
5 1 2	1.173	82.19	20

=====

[3]
Sr2Mg17: simulated powder diffraction line list (CuKα), based on DFT lattice parameters and positions (PBE).
Intensities are scaled so that the largest is 100.

Structural model:
abc: 10.5087 10.5087 10.3117
angles: 90.00 90.00 120.00
Space group P6_3/mmc (No. 194)
Unique sites:
Sr 0.0000 0.0000 0.2500
Sr 0.3333 0.6667 0.2500
Mg 0.0000 0.5000 0.0000
Mg 0.0385 0.3675 0.7500
Mg 0.1651 0.3303 0.0208
Mg 0.3333 0.6667 0.6021

Peak list (10 most intense, 15 to 90 degrees two-theta, in order of rising 2θ)
index	d_spacing	two_theta	intensity
1 1 2	3.680	24.18	49
3 0 0	3.034	29.44	44
2 0 3	2.743	32.65	34
2 2 0	2.627	34.13	58
3 0 2	2.615	34.30	100
0 0 4	2.578	34.80	29
4 1 2	1.853	49.16	19
2 2 4	1.840	49.54	20
3 3 2	1.658	55.40	19
3 0 6	1.495	62.07	21

=====

[4]
Rb2LiInCl6: simulated powder diffraction line list (CuKα), based on DFT lattice parameters and positions (PBE).
Intensities are scaled so that the largest is 100.

Structural model:
abc: 10.317 10.317 10.317
angles: 90.00 90.00 90.00
Space group Fm-3m (No. 225)
Unique sites:
Rb 0.250 0.250 0.250
Li 0.000 0.000 0.000
In 0.000 0.000 0.500
Cl 0.000 0.000 0.253

Peak list (10 most intense, 15 to 90 degrees two-theta, in order of rising 2θ)
index	d_spacing	two_theta	intensity
2 2 0	3.648	24.40	95
3 1 1	3.111	28.70	31
2 2 2	2.978	30.00	56
4 0 0	2.579	34.78	100
4 2 2	2.106	42.95	43
4 4 0	1.824	50.01	66
6 2 0	1.631	56.40	20
4 4 4	1.489	62.35	22
6 4 2	1.379	68.00	23
8 4 0	1.154	83.88	28

=====

[5]
AgI: simulated powder diffraction line list (CuKα), based on DFT lattice parameters and positions (PBE).
Intensities are scaled so that the largest is 100.

Structural model:
abc: 4.7106 4.7106 7.6137
angles: 90.00 90.00 120.00
Space group P6_3mc (No. 186)
Unique sites:
Ag 0.3333 0.6667 0.0000
I 0.3333 0.6667 0.3795

Peak list (10 most intense, 15 to 90 degrees two-theta, in order of rising 2θ)
index	d_spacing	two_theta	intensity
1 0 0	4.079	21.79	100
0 0 2	3.807	23.37	60
1 0 1	3.596	24.76	61
1 0 2	2.783	32.16	39
1 1 0	2.355	38.21	92
1 0 3	2.155	41.92	87
1 1 2	2.003	45.27	59
2 0 3	1.590	58.01	32
1 0 5	1.427	65.42	24
2 1 3	1.318	71.61	34

=====

[6]
SrReO3: simulated powder diffraction line list (CuKα), based on DFT lattice parameters and positions (PBE).
Intensities are scaled so that the largest is 100.

Structural model:
abc: 3.997 3.997 3.997
angles: 90.00 90.00 90.00
Space group Pm-3m (No. 221)
Unique sites:
Sr 0.000 0.000 0.000
Re 0.500 0.500 0.500
O 0.000 0.500 0.500

Peak list (10 most intense, 15 to 90 degrees two-theta, in order of rising 2θ)
index	d_spacing	two_theta	intensity
1 0 0	3.997	22.24	23
1 1 0	2.826	31.66	100
2 0 0	1.998	45.38	29
2 1 0	1.787	51.10	10
2 1 1	1.632	56.39	40
2 2 0	1.413	66.12	18
3 0 0	1.332	70.71	5
3 1 0	1.264	75.17	18
2 2 2	1.154	83.85	6
3 2 0	1.109	88.12	2

=====

[7]
La5AlSi2O13: simulated powder diffraction line list (CuKα), based on DFT lattice parameters and positions (PBE).
Intensities are scaled so that the largest is 100.

Structural model:
abc: 9.813 7.252 9.816
angles: 90.00 119.81 90.00
Space group Pm (No. 6)
Unique sites:
La 0.000 0.000 0.000
La 0.004 0.500 0.761
La 0.097 0.250 0.426
La 0.432 0.250 0.090
La 0.524 0.500 0.532
La 0.536 0.000 0.777
La 0.761 0.000 0.521
La 0.769 0.500 0.001
Al 0.390 0.500 0.790
Al 0.794 0.000 0.167
Si 0.137 0.000 0.733
Si 0.169 0.500 0.136
Si 0.365 0.000 0.392
Si 0.735 0.500 0.362
O 0.022 0.183 0.678
O 0.096 0.500 0.253
O 0.109 0.318 0.020
O 0.171 0.000 0.297
O 0.235 0.000 0.636
O 0.253 0.000 0.923
O 0.265 0.500 0.586
O 0.293 0.500 0.900
O 0.363 0.500 0.234
O 0.425 0.183 0.507
O 0.436 0.000 0.272
O 0.518 0.307 0.854
O 0.591 0.000 0.090
O 0.638 0.500 0.169
O 0.679 0.317 0.423
O 0.766 0.500 0.759
O 0.767 0.000 0.760
O 0.860 0.191 0.103
O 0.903 0.000 0.375
O 0.925 0.500 0.433

Peak list (10 most intense, 15 to 90 degrees two-theta, in order of rising 2θ)
index	d_spacing	two_theta	intensity
0 0 2	4.254	20.88	33
2 1 -1	4.067	21.86	25
1 2 -1	3.336	26.73	43
3 0 -2	3.215	27.74	42
2 1 1	2.940	30.41	100
2 2 -1	2.917	30.65	63
3 0 -3	2.836	31.55	36
4 2 -2	2.032	44.59	24
2 3 1	1.932	47.03	34
4 2 0	1.836	49.66	20

=====

[8]
V2S5: simulated powder diffraction line list (CuKα), based on DFT lattice parameters and positions (PBE).
Intensities are scaled so that the largest is 100.

Structural model:
abc: 4.334 13.866 6.511
angles: 90.00 90.00 90.00
Space group Pmmn (No. 59, origin choice 2)
Unique sites:
V 0.250 0.100 0.099
S 0.250 0.108 0.409
S 0.250 0.250 0.966
S 0.250 0.570 0.025

Peak list (10 most intense, 15 to 90 degrees two-theta, in order of rising 2θ)
index	d_spacing	two_theta	intensity
0 1 1	5.894	15.03	44
1 1 0	4.137	21.48	100
0 3 1	3.769	23.61	50
1 0 1	3.608	24.67	60
0 4 0	3.466	25.70	41
0 0 2	3.256	27.39	55
1 4 1	2.500	35.93	34
0 6 0	2.311	38.97	37
2 0 0	2.167	41.67	50
1 7 0	1.802	50.64	45